Record 1
The following is a theoretical powder X-ray diffraction pattern of Hg4Se2Cl5. It was derived from a PBE-relaxed structure, using Cu Ka.
Intensities are scaled so that the largest is 100.

Structure:
abc: 18.0715 4.7152 8.5521
angles: 90.00 110.76 90.00
Space group C2/m (No. 12)
Unique sites:
Hg 0.0292 0.0000 0.3439
Hg 0.1724 0.5000 0.0802
Se 0.0274 0.5000 0.8912
Cl 0.0000 0.5000 0.5000
Cl 0.1606 0.0000 0.2936
Cl 0.1860 0.0000 0.8099

Most intense lines, 15° ≤ 2θ ≤ 90°, low angle first:
| 2theta | intensity | hkl |
| --- | --- | --- |
| 17.8 | 72 | 2 0 1 |
| 21.6 | 84 | 1 1 -1 |
| 24.6 | 100 | 4 0 -2 |
| 28.3 | 86 | 1 1 -2 |
| 31.8 | 39 | 6 0 0 |
| 37.6 | 47 | 5 1 1 |
| 38.2 | 40 | 0 2 0 |
| 39.8 | 37 | 5 1 -3 |
| 40.9 | 66 | 1 1 3 |
| 50.5 | 35 | 6 2 0 |

=====

Record 2
The following is a theoretical powder X-ray diffraction pattern of ZrHg3Se2Cl6. It was derived from a PBE-relaxed structure, using Cu Ka.
Intensities are scaled so that the largest is 100.

Structure:
abc: 7.0155 7.7978 13.5277
angles: 90.00 90.06 90.00
Space group P2_1/c (No. 14)
Unique sites:
Zr 0.0000 0.0000 0.0000
Hg 0.4985 0.2463 0.2489
Hg 0.5000 0.0000 0.5000
Se 0.3265 0.5033 0.8334
Cl 0.1970 0.2308 0.0768
Cl 0.2046 0.0033 0.8494
Cl 0.2055 0.7249 0.5763

Most intense lines, 15° ≤ 2θ ≤ 90°, low angle first:
| 2theta | intensity | hkl |
| --- | --- | --- |
| 18.2 | 100 | 1 0 2 |
| 26.4 | 41 | 0 2 2 |
| 29.3 | 84 | 1 2 -2 |
| 36.9 | 92 | 2 0 4 |
| 37.5 | 28 | 1 2 -4 |
| 45.2 | 19 | 3 2 0 |
| 46.5 | 37 | 0 4 0 |
| 47.3 | 19 | 3 2 2 |
| 48.4 | 18 | 1 2 6 |
| 59.4 | 16 | 4 2 -2 |

=====

Record 3
The following is a theoretical powder X-ray diffraction pattern of Sn4HgCl8. It was derived from a PBE-relaxed structure, using Cu Ka.
Intensities are scaled so that the largest is 100.

Structure:
abc: 20.8153 4.2177 13.4979
angles: 90.00 128.39 90.00
Space group Cm (No. 8)
Unique sites:
Sn 0.0000 0.0000 0.0000
Sn 0.0283 0.5000 0.3943
Sn 0.3048 0.5000 0.2528
Sn 0.3352 0.0000 0.6484
Hg 0.1644 0.5000 0.8175
Cl 0.0519 0.0000 0.2885
Cl 0.1046 0.5000 0.0593
Cl 0.2307 0.5000 0.5888
Cl 0.2814 0.0000 0.3589
Cl 0.3693 0.0000 0.8726
Cl 0.3754 0.0000 0.1846
Cl 0.4579 0.5000 0.4626
Cl 0.4661 0.5000 0.7762

Most intense lines, 15° ≤ 2θ ≤ 90°, low angle first:
| 2theta | intensity | hkl |
| --- | --- | --- |
| 17.4 | 72 | 4 0 -2 |
| 17.8 | 70 | 4 0 -1 |
| 20.3 | 83 | 2 0 -3 |
| 24.8 | 100 | 3 1 -1 |
| 25.1 | 44 | 2 0 2 |
| 26.7 | 51 | 3 1 0 |
| 29.0 | 40 | 3 1 -3 |
| 34.6 | 89 | 5 1 -4 |
| 37.7 | 77 | 7 1 -2 |
| 43.6 | 43 | 1 1 4 |

=====

Record 4
The following is a theoretical powder X-ray diffraction pattern of SnHgCl6. It was derived from a PBE-relaxed structure, using Cu Ka.
Intensities are scaled so that the largest is 100.

Structure:
abc: 6.4508 6.6419 6.8128
angles: 95.03 112.02 117.53
Space group P-1 (No. 2)
Unique sites:
Sn 0.0000 0.0000 0.0000
Hg 0.0000 0.5000 0.5000
Cl 0.1673 0.4237 0.2575
Cl 0.1774 0.2206 0.7777
Cl 0.4266 0.0581 0.2291

Most intense lines, 15° ≤ 2θ ≤ 90°, low angle first:
| 2theta | intensity | hkl |
| --- | --- | --- |
| 17.6 | 100 | 1 0 0 |
| 18.0 | 95 | 0 1 -1 |
| 19.7 | 79 | -1 1 1 |
| 24.1 | 49 | 1 -1 1 |
| 25.0 | 50 | 0 1 1 |
| 26.5 | 32 | 1 0 -2 |
| 30.0 | 23 | 1 -2 1 |
| 32.1 | 27 | 0 2 0 |
| 38.6 | 32 | 2 -1 1 |
| 42.0 | 27 | -1 2 2 |